Record 1
This entry pairs a crystal structure of CoB2Au with its calculated XRD peak list. Radiation: Cu Kα, 1.54184 Å. Structure: a crystal structure in OQMD, relaxed with PBE.
Lines closer than 0.1° are merged.

Structure:
```
CoB2Au
1.0
5.584 0.000 0.000
0.000 5.584 0.000
0.000 0.000 5.584
Co B Au
4 8 4
Direct
0.000 0.000 0.000
0.000 0.500 0.500
0.500 0.000 0.500
0.500 0.500 0.000
0.000 0.000 0.500
0.000 0.500 0.000
0.250 0.250 0.250
0.250 0.750 0.750
0.500 0.000 0.000
0.500 0.500 0.500
0.750 0.250 0.750
0.750 0.750 0.250
0.250 0.250 0.750
0.250 0.750 0.250
0.750 0.250 0.250
0.750 0.750 0.750
```

Most intense lines, 10 to 80 degrees two-theta, in order of rising 2θ:
d (Å)  Position (°2θ)  Rel. int.  h k l
3.224  27.67  100  1 1 1
2.792  32.05  25  2 0 0
1.974  45.97  75  2 2 0
1.684  54.50  48  3 1 1
1.612  57.14  7  2 2 2
1.396  67.03  12  4 0 0
1.281  73.99  20  3 3 1
1.249  76.25  9  4 2 0

---

Record 2
This entry pairs a crystal structure of CoNiBAu with its calculated XRD peak list. Radiation: Cu Kα, 1.54184 Å. Structure: a crystal structure in OQMD, relaxed with PBE.
Lines closer than 0.1° are merged.

Structure:
```
CoNiBAu
1.0
5.688 0.000 0.000
0.000 5.688 0.000
0.000 0.000 5.688
Co Ni B Au
4 4 4 4
Direct
0.000 0.000 0.000
0.000 0.500 0.500
0.500 0.000 0.500
0.500 0.500 0.000
0.250 0.250 0.250
0.250 0.750 0.750
0.750 0.250 0.750
0.750 0.750 0.250
0.250 0.250 0.750
0.250 0.750 0.250
0.750 0.250 0.250
0.750 0.750 0.750
0.000 0.000 0.500
0.000 0.500 0.000
0.500 0.000 0.000
0.500 0.500 0.500
```

Most intense lines, 10 to 80 degrees two-theta, in order of rising 2θ:
d (Å)  Position (°2θ)  Rel. int.  h k l
3.284  27.15  50  1 1 1
2.844  31.45  42  2 0 0
2.011  45.08  100  2 2 0
1.715  53.42  25  3 1 1
1.642  56.00  12  2 2 2
1.422  65.65  16  4 0 0
1.305  72.42  11  3 3 1
1.272  74.61  15  4 2 0

---

Record 3
This entry pairs a crystal structure of InB4Au with its calculated XRD peak list. Radiation: Cu Kα, 1.54184 Å. Structure: a crystal structure in OQMD, relaxed with PBE.
Lines closer than 0.1° are merged.

Structure:
```
InB4Au
1.0
3.122 0.000 0.000
0.000 5.265 0.000
0.000 0.000 8.279
In B Au
2 8 2
Direct
0.000 0.000 0.000
0.500 0.500 0.500
0.000 0.327 0.256
0.000 0.327 0.744
0.000 0.673 0.256
0.000 0.673 0.744
0.500 0.173 0.244
0.500 0.173 0.756
0.500 0.827 0.244
0.500 0.827 0.756
0.000 0.000 0.500
0.500 0.500 0.000
```

Most intense lines, 10 to 80 degrees two-theta, in order of rising 2θ:
d (Å)  Position (°2θ)  Rel. int.  h k l
4.140  21.47  86  0 0 2
2.686  33.36  68  1 1 0
2.632  34.06  32  0 2 0
2.253  40.02  100  1 1 2
2.221  40.61  49  0 2 2
2.070  43.74  23  0 0 4
1.639  56.10  31  1 1 4
1.627  56.57  18  0 2 4
1.435  64.99  18  1 3 2
1.277  74.24  17  2 2 2